# 1
Calculated powder diffraction line list of Cu4P3O12 for Cu Kα, from DFT lattice parameters and positions (GGA-PBE).
Lines closer than 0.1° are merged.

```
data_Cu4P3O12
_symmetry_space_group_name_H-M 'P -1'
_symmetry_Int_Tables_number 2
_symmetry_space_group_name_Hall '-P 1'
_cell_length_a 7.3997
_cell_length_b 7.8727
_cell_length_c 9.5520
_cell_angle_alpha 109.58
_cell_angle_beta 111.78
_cell_angle_gamma 92.28
loop_
_atom_site_label
_atom_site_type_symbol
_atom_site_fract_x
_atom_site_fract_y
_atom_site_fract_z
Cu1 Cu 0.0147 0.2941 0.4579
Cu2 Cu 0.2626 0.3977 0.9017
Cu3 Cu 0.2643 0.0243 0.9182
Cu4 Cu 0.3027 0.1148 0.2945
P1 P 0.0195 0.7496 0.9387
P2 P 0.3024 0.0448 0.6077
P3 P 0.3923 0.6386 0.7447
O1 O 0.0726 0.2293 0.2295
O2 O 0.0953 0.5726 0.9241
O3 O 0.1371 0.2387 0.9844
O4 O 0.1711 0.5569 0.6202
O5 O 0.1721 0.8533 0.5147
O6 O 0.1906 0.9241 0.0513
O7 O 0.2380 0.1666 0.5031
O8 O 0.2707 0.1422 0.7701
O9 O 0.4150 0.8402 0.8633
O10 O 0.4482 0.5126 0.8454
O11 O 0.4700 0.3519 0.3394
O12 O 0.4765 0.9554 0.3482
```

Main lines, in order of rising 2θ (2θ = 15–90°):
2θ 19.05, rel. 42, (0 1 1); 2θ 19.53, rel. 37, (1 1 0); 2θ 29.75, rel. 100, (1 0 2); 2θ 29.98, rel. 25, (1 2 0); 2θ 31.78, rel. 26, (1 2 -3); 2θ 32.16, rel. 30, (2 1 -3); 2θ 32.60, rel. 39, (2 -2 0); 2θ 39.25, rel. 22, (0 3 -3)



# 2
Calculated powder diffraction line list of CeU4O10 for Cu Kα, from DFT lattice parameters and positions (GGA-PBE).
Lines closer than 0.1° are merged.

```
data_CeU4O10
_symmetry_space_group_name_H-M 'R -3 m'
_symmetry_Int_Tables_number 166
_symmetry_space_group_name_Hall '-R 3 2"'
_cell_length_a 3.8386
_cell_length_b 3.8386
_cell_length_c 46.9892
_cell_angle_alpha 90.00
_cell_angle_beta 90.00
_cell_angle_gamma 120.00
loop_
_atom_site_label
_atom_site_type_symbol
_atom_site_fract_x
_atom_site_fract_y
_atom_site_fract_z
Ce1 Ce 0.0000 0.0000 0.0000
U1 U 0.0000 0.0000 0.2001
U2 U 0.0000 0.0000 0.4000
O1 O 0.0000 0.0000 0.0523
O2 O 0.0000 0.0000 0.1500
O3 O 0.0000 0.0000 0.2497
O4 O 0.0000 0.0000 0.3524
O5 O 0.0000 0.0000 0.4499
```

Main lines, in order of rising 2θ (2θ = 15–90°):
2θ 28.48, rel. 100, (0 1 5); 2θ 33.01, rel. 36, (1 0 10); 2θ 47.37, rel. 50, (1 1 0); 2θ 56.21, rel. 47, (1 0 25); 2θ 58.95, rel. 10, (0 0 30); 2θ 76.50, rel. 20, (1 2 5); 2θ 78.87, rel. 15, (1 1 30); 2θ 88.19, rel. 18, (3 0 0)



# 3
Calculated powder diffraction line list of PrTe for Cu Kα, from DFT lattice parameters and positions (GGA-PBE).
Lines closer than 0.1° are merged.

```
data_PrTe
_symmetry_space_group_name_H-M 'P m -3 m'
_symmetry_Int_Tables_number 221
_symmetry_space_group_name_Hall '-P 4 2 3'
_cell_length_a 3.9076
_cell_length_b 3.9076
_cell_length_c 3.9076
_cell_angle_alpha 90.00
_cell_angle_beta 90.00
_cell_angle_gamma 90.00
loop_
_atom_site_label
_atom_site_type_symbol
_atom_site_fract_x
_atom_site_fract_y
_atom_site_fract_z
Pr1 Pr 0.0000 0.0000 0.0000
Te1 Te 0.5000 0.5000 0.5000
```

Main lines, in order of rising 2θ (2θ = 15–90°):
2θ 22.76, rel. 1, (1 0 0); 2θ 32.40, rel. 100, (1 1 0); 2θ 46.48, rel. 18, (2 0 0); 2θ 57.80, rel. 38, (2 1 1); 2θ 67.84, rel. 12, (2 2 0); 2θ 77.20, rel. 16, (3 1 0); 2θ 86.22, rel. 4, (2 2 2)



# 4
Calculated powder diffraction line list of SmInCu for Cu Kα, from DFT lattice parameters and positions (GGA-PBE).
Lines closer than 0.1° are merged.

```
data_SmInCu
_symmetry_space_group_name_H-M 'P -6 2 m'
_symmetry_Int_Tables_number 189
_symmetry_space_group_name_Hall 'P -6 -2'
_cell_length_a 7.5644
_cell_length_b 7.5644
_cell_length_c 3.9974
_cell_angle_alpha 90.00
_cell_angle_beta 90.00
_cell_angle_gamma 120.00
loop_
_atom_site_label
_atom_site_type_symbol
_atom_site_fract_x
_atom_site_fract_y
_atom_site_fract_z
Sm1 Sm 0.0000 0.4115 0.0000
In1 In 0.0000 0.7491 0.5000
Cu1 Cu 0.0000 0.0000 0.0000
Cu2 Cu 0.3333 0.6667 0.5000
```

Main lines, in order of rising 2θ (2θ = 15–90°):
2θ 32.59, rel. 100, (1 1 1); 2θ 35.43, rel. 78, (2 0 1); 2θ 36.28, rel. 55, (2 1 0); 2θ 41.35, rel. 22, (3 0 0); 2θ 45.38, rel. 22, (0 0 2); 2θ 55.56, rel. 23, (3 1 1); 2θ 59.43, rel. 25, (2 1 2); 2θ 66.46, rel. 25, (3 2 1)